For Y8Ho4Er3, a PBE-relaxed structure gives the calculated powder XRD pattern in this record (λ = 1.5418 Å (Cu Kα)).

```
15
Lattice="3.463 1.999 11.707 -3.463 1.999 11.707 0.000 -3.998 11.707" Properties=species:S:1:pos:R:3 pbc="T T T"
Y 0.000 0.000 8.601
Y -1.738 -1.004 20.481
Y 0.000 -2.007 14.639
Y -1.738 1.004 14.639
Y 1.738 -1.004 20.481
Y 0.000 2.007 20.481
Y 1.738 1.004 14.639
Y 0.000 0.000 26.519
Ho 0.000 0.000 0.000
Ho 0.000 0.000 11.799
Ho 0.000 0.000 17.560
Ho 0.000 0.000 23.321
Er -3.462 0.000 17.560
Er -1.731 1.000 5.853
Er 1.731 1.000 5.853
```

The 10 most intense peaks (15° ≤ 2θ ≤ 90°), by angle:
- 26.85 deg, intensity 361
- 29.95 deg, intensity 553
- 30.55 deg, intensity 667
- 31.53 deg, intensity 1000
- 34.63 deg, intensity 240
- 34.86 deg, intensity 221
- 36.28 deg, intensity 736
- 51.60 deg, intensity 221
- 52.88 deg, intensity 433
- 62.31 deg, intensity 515